# 1
Theoretical X-ray powder pattern
Compound: Ba3NaSi23
Radiation: Cu Kα X-rays
Structure: the PBE geometry in the Materials Project

Largest 10 diffraction maxima, low angle first, 5° ≤ 2θ ≤ 70°:
Position (°2θ)	I/Imax
12.12	18
19.22	51
29.97	72
31.23	88
32.44	100
34.75	32
47.41	25
51.60	43
54.79	42
60.10	20

```
Ba3NaSi23
1.0
10.3275 0.0000 0.0000
0.0000 10.3275 0.0000
0.0000 0.0000 10.3275
Ba Na Si
6 2 46
direct
0.0000 0.2500 0.5000 Ba
0.0000 0.7500 0.5000 Ba
0.2500 0.5000 0.0000 Ba
0.5000 0.0000 0.2500 Ba
0.5000 0.0000 0.7500 Ba
0.7500 0.5000 0.0000 Ba
0.0000 0.0000 0.0000 Na
0.5000 0.5000 0.5000 Na
0.0000 0.3043 0.1204 Si
0.0000 0.3043 0.8796 Si
0.0000 0.5000 0.2500 Si
0.0000 0.5000 0.7500 Si
0.0000 0.6957 0.1204 Si
0.0000 0.6957 0.8796 Si
0.1204 0.0000 0.3043 Si
0.1204 0.0000 0.6957 Si
0.1841 0.1841 0.1841 Si
0.1841 0.1841 0.8159 Si
0.1841 0.8159 0.1841 Si
0.1841 0.8159 0.8159 Si
0.1957 0.5000 0.3796 Si
0.1957 0.5000 0.6204 Si
0.2500 0.0000 0.5000 Si
0.3043 0.1204 0.0000 Si
0.3043 0.8796 0.0000 Si
0.3159 0.3159 0.3159 Si
0.3159 0.3159 0.6841 Si
0.3159 0.6841 0.3159 Si
0.3159 0.6841 0.6841 Si
0.3796 0.1957 0.5000 Si
0.3796 0.8043 0.5000 Si
0.5000 0.2500 0.0000 Si
0.5000 0.3796 0.1957 Si
0.5000 0.3796 0.8043 Si
0.5000 0.6204 0.1957 Si
0.5000 0.6204 0.8043 Si
0.5000 0.7500 0.0000 Si
0.6204 0.1957 0.5000 Si
0.6204 0.8043 0.5000 Si
0.6841 0.3159 0.3159 Si
0.6841 0.3159 0.6841 Si
0.6841 0.6841 0.3159 Si
0.6841 0.6841 0.6841 Si
0.6957 0.1204 0.0000 Si
0.6957 0.8796 0.0000 Si
0.7500 0.0000 0.5000 Si
0.8043 0.5000 0.3796 Si
0.8043 0.5000 0.6204 Si
0.8159 0.1841 0.1841 Si
0.8159 0.1841 0.8159 Si
0.8159 0.8159 0.1841 Si
0.8159 0.8159 0.8159 Si
0.8796 0.0000 0.3043 Si
0.8796 0.0000 0.6957 Si
```

# 2
Theoretical X-ray powder pattern
Compound: BaNaSn
Radiation: Cu Kα X-rays
Structure: the PBE geometry in the Materials Project

Largest 9 diffraction maxima, low angle first, 5° ≤ 2θ ≤ 70°:
Position (°2θ)	I/Imax
19.97	2
23.10	82
32.90	100
38.79	1
40.58	25
47.21	18
53.20	35
58.74	38
68.99	12

```
BaNaSn
1.0
0.0000 3.8502 3.8502
3.8502 0.0000 3.8502
3.8502 3.8502 0.0000
Ba Na Sn
1 1 1
direct
0.0000 0.0000 0.0000 Ba
0.2500 0.2500 0.2500 Na
0.5000 0.5000 0.5000 Sn
```

# 3
Theoretical X-ray powder pattern
Compound: Ba3Nb
Radiation: Cu Kα X-rays
Structure: the PBE geometry in the Materials Project

Largest 8 diffraction maxima, low angle first, 5° ≤ 2θ ≤ 70°:
Position (°2θ)	I/Imax
17.23	1
19.93	1
28.32	100
33.35	1
40.49	19
50.15	40
58.59	13
66.34	17

```
Ba3Nb
1.0
0.0000 4.4560 4.4560
4.4560 0.0000 4.4560
4.4560 4.4560 0.0000
Ba Nb
3 1
direct
0.0000 0.0000 0.0000 Ba
0.2500 0.2500 0.2500 Ba
0.7500 0.7500 0.7500 Ba
0.5000 0.5000 0.5000 Nb
```

# 4
Theoretical X-ray powder pattern
Compound: BaSrNdNbO6
Radiation: Cu Kα X-rays
Structure: the PBE geometry in the Materials Project

Largest 10 diffraction maxima, low angle first, 5° ≤ 2θ ≤ 70°:
Position (°2θ)	I/Imax
14.57	2
20.65	2
29.37	100
34.59	2
41.99	19
42.08	9
52.10	44
60.93	17
69.00	9
69.13	9

```
BaSrNdNbO6
1.0
8.5888 0.0000 0.0000
0.0000 8.6011 0.0000
0.0000 0.0000 8.6123
Ba Sr Nd Nb O
4 4 4 4 24
direct
0.2500 0.2500 0.2500 Ba
0.2500 0.7500 0.2500 Ba
0.7500 0.2500 0.7500 Ba
0.7500 0.7500 0.7500 Ba
0.2500 0.2500 0.7500 Sr
0.2500 0.7500 0.7500 Sr
0.7500 0.2500 0.2500 Sr
0.7500 0.7500 0.2500 Sr
0.0000 0.0000 0.0000 Nd
0.0000 0.5000 0.5000 Nd
0.5000 0.0000 0.5000 Nd
0.5000 0.5000 0.0000 Nd
0.0000 0.0000 0.5000 Nb
0.0000 0.5000 0.0000 Nb
0.5000 0.0000 0.0000 Nb
0.5000 0.5000 0.5000 Nb
0.0332 0.0421 0.7308 O
0.0332 0.4579 0.7692 O
0.0385 0.7308 0.9627 O
0.0385 0.7692 0.5373 O
0.2308 0.0288 0.4668 O
0.2308 0.4712 0.0332 O
0.2692 0.0288 0.0332 O
0.2692 0.4712 0.4668 O
0.4615 0.7308 0.5373 O
0.4615 0.7692 0.9627 O
0.4668 0.0421 0.7692 O
0.4668 0.4579 0.7308 O
0.5332 0.5421 0.2692 O
0.5332 0.9579 0.2308 O
0.5385 0.2308 0.0373 O
0.5385 0.2692 0.4627 O
0.7308 0.5288 0.5332 O
0.7308 0.9712 0.9668 O
0.7692 0.5288 0.9668 O
0.7692 0.9712 0.5332 O
0.9615 0.2308 0.4627 O
0.9615 0.2692 0.0373 O
0.9668 0.5421 0.2308 O
0.9668 0.9579 0.2692 O
```

# 5
Theoretical X-ray powder pattern
Compound: BaSrNdNbO6
Radiation: Cu Kα X-rays
Structure: the PBE geometry in the Materials Project

Largest 10 diffraction maxima, low angle first, 5° ≤ 2θ ≤ 70°:
Position (°2θ)	I/Imax
29.32	65
29.51	100
29.59	32
42.12	36
42.20	19
52.04	14
52.20	28
52.35	14
52.53	22
69.36	15

```
BaSrNdNbO6
1.0
6.0427 0.0000 0.0000
0.0092 6.0932 0.0000
0.0576 0.0510 8.5661
Ba Sr Nd Nb O
2 2 2 2 12
direct
0.0051 0.0267 0.2495 Ba
0.9949 0.9733 0.7505 Ba
0.4907 0.5348 0.2476 Sr
0.5093 0.4652 0.7524 Sr
0.0000 0.5000 0.0000 Nd
0.5000 0.0000 0.5000 Nd
0.0000 0.5000 0.5000 Nb
0.5000 0.0000 0.0000 Nb
0.0890 0.5040 0.7301 O
0.1983 0.7636 0.4616 O
0.2330 0.8043 0.0276 O
0.2638 0.3034 0.4500 O
0.3105 0.2706 0.0491 O
0.4327 0.0437 0.7699 O
0.5673 0.9563 0.2301 O
0.6895 0.7294 0.9509 O
0.7362 0.6966 0.5500 O
0.7670 0.1957 0.9724 O
0.8017 0.2364 0.5384 O
0.9110 0.4960 0.2699 O
```

# 6
Theoretical X-ray powder pattern
Compound: BaSrNdNbO6
Radiation: Cu Kα X-rays
Structure: the PBE geometry in the Materials Project

Largest 10 diffraction maxima, low angle first, 5° ≤ 2θ ≤ 70°:
Position (°2θ)	I/Imax
17.73	4
20.50	2
29.15	100
34.32	3
35.90	1
41.69	31
45.63	2
51.68	40
60.43	19
68.48	18

```
BaSrNdNbO6
1.0
0.0000 4.3327 4.3327
4.3327 0.0000 4.3327
4.3327 4.3327 0.0000
Ba Sr Nd Nb O
1 1 1 1 6
direct
0.0000 0.0000 0.0000 Ba
0.5000 0.5000 0.5000 Sr
0.2500 0.2500 0.2500 Nd
0.7500 0.7500 0.7500 Nb
0.5173 0.5173 0.9827 O
0.5173 0.9827 0.5173 O
0.5173 0.9827 0.9827 O
0.9827 0.5173 0.5173 O
0.9827 0.5173 0.9827 O
0.9827 0.9827 0.5173 O
```

# 7
Theoretical X-ray powder pattern
Compound: Ba4Nb3O12
Radiation: Cu Kα X-rays
Structure: the PBE geometry in the Materials Project

Largest 10 diffraction maxima, low angle first, 5° ≤ 2θ ≤ 70°:
Position (°2θ)	I/Imax
25.23	36
28.80	77
30.18	100
32.67	14
39.74	17
42.21	44
50.14	14
52.76	29
53.61	20
62.76	20

```
Ba4Nb3O12
1.0
5.9217 0.0000 0.0000
-2.9609 5.1284 0.0000
0.0000 0.0000 19.4589
Ba Nb O
8 6 24
direct
0.0000 0.0000 0.0000 Ba
0.0000 0.0000 0.5000 Ba
0.3333 0.6667 0.1356 Ba
0.3333 0.6667 0.3595 Ba
0.3333 0.6667 0.7340 Ba
0.6667 0.3333 0.2340 Ba
0.6667 0.3333 0.6356 Ba
0.6667 0.3333 0.8595 Ba
0.0000 0.0000 0.2935 Nb
0.0000 0.0000 0.7935 Nb
0.3333 0.6667 0.5551 Nb
0.3333 0.6667 0.9265 Nb
0.6667 0.3333 0.0551 Nb
0.6667 0.3333 0.4265 Nb
0.0052 0.5026 0.9846 O
0.1633 0.3267 0.2489 O
0.1633 0.8367 0.2489 O
0.1698 0.3397 0.8673 O
0.1698 0.8302 0.8673 O
0.1764 0.3529 0.6063 O
0.1764 0.8236 0.6063 O
0.3267 0.1633 0.7489 O
0.3397 0.1698 0.3673 O
0.3529 0.1764 0.1063 O
0.4974 0.5026 0.9846 O
0.4974 0.9948 0.9846 O
0.5026 0.0052 0.4846 O
0.5026 0.4974 0.4846 O
0.6471 0.8236 0.6063 O
0.6603 0.8302 0.8673 O
0.6733 0.8367 0.2489 O
0.8236 0.1764 0.1063 O
0.8236 0.6471 0.1063 O
0.8302 0.1698 0.3673 O
0.8302 0.6603 0.3673 O
0.8367 0.1633 0.7489 O
0.8367 0.6733 0.7489 O
0.9948 0.4974 0.4846 O
```